Record 1
Theoretical X-ray diffraction stick pattern of NaTl8Pb3 for copper Kα, from a cell relaxed with GGA-PBE.
Intensities are scaled so that the largest is 100.

Structural model:
```
data_NaTl8Pb3
_chemical_formula_sum 'Na1 Tl8 Pb3'
_symmetry_space_group_name_H-M 'P 1'
_symmetry_Int_Tables_number 1
_cell_length_a 8.3629
_cell_length_b 8.3629
_cell_length_c 6.8863
_cell_angle_alpha 90.00
_cell_angle_beta 90.00
_cell_angle_gamma 120.00
loop_
_symmetry_equiv_pos_as_xyz
'x,y,z'
loop_
_atom_site_label
_atom_site_type_symbol
_atom_site_fract_x
_atom_site_fract_y
_atom_site_fract_z
Na1 Na 0.0000 0.0000 0.0000
Tl1 Tl 0.0000 0.3309 0.7285
Tl2 Tl 0.0000 0.6691 0.2715
Tl3 Tl 0.3309 0.0000 0.7285
Tl4 Tl 0.3309 0.3309 0.2715
Tl5 Tl 0.3333 0.6667 0.0000
Tl6 Tl 0.6667 0.3333 0.0000
Tl7 Tl 0.6691 0.0000 0.2715
Tl8 Tl 0.6691 0.6691 0.7285
Pb1 Pb 0.0000 0.0000 0.5000
Pb2 Pb 0.3333 0.6667 0.5000
Pb3 Pb 0.6667 0.3333 0.5000
```

Peak list (12 most intense, 10 to 90 degrees two-theta, in order of rising 2θ)
2θ 21.2, I = 11; 2θ 24.9, I = 85; 2θ 33.7, I = 100; 2θ 37.2, I = 71; 2θ 45.1, I = 19; 2θ 45.3, I = 18; 2θ 51.1, I = 32; 2θ 60.1, I = 16; 2θ 64.9, I = 31; 2θ 66.7, I = 23; 2θ 67.2, I = 13; 2θ 89.1, I = 14

---

Record 2
Theoretical X-ray diffraction stick pattern of Na3TlPb6 for copper Kα, from a cell relaxed with GGA-PBE.
Intensities are scaled so that the largest is 100.

Structural model:
```
data_Na3TlPb6
_chemical_formula_sum 'Na6 Tl2 Pb12'
_symmetry_space_group_name_H-M 'P 1'
_symmetry_Int_Tables_number 1
_cell_length_a 9.2580
_cell_length_b 5.6083
_cell_length_c 12.0658
_cell_angle_alpha 90.00
_cell_angle_beta 107.87
_cell_angle_gamma 90.00
loop_
_symmetry_equiv_pos_as_xyz
'x,y,z'
loop_
_atom_site_label
_atom_site_type_symbol
_atom_site_fract_x
_atom_site_fract_y
_atom_site_fract_z
Na1 Na 0.0898 0.2500 0.2341
Na2 Na 0.2949 0.7500 0.3677
Na3 Na 0.3015 0.2500 0.0326
Na4 Na 0.6985 0.7500 0.9674
Na5 Na 0.7051 0.2500 0.6323
Na6 Na 0.9102 0.7500 0.7659
Tl1 Tl 0.0982 0.7500 0.5622
Tl2 Tl 0.9018 0.2500 0.4378
Pb1 Pb 0.0903 0.7500 0.0599
Pb2 Pb 0.1112 0.2500 0.7370
Pb3 Pb 0.3047 0.7500 0.8650
Pb4 Pb 0.3077 0.2500 0.5428
Pb5 Pb 0.4881 0.7500 0.1647
Pb6 Pb 0.4963 0.2500 0.3346
Pb7 Pb 0.5037 0.7500 0.6654
Pb8 Pb 0.5119 0.2500 0.8353
Pb9 Pb 0.6923 0.7500 0.4572
Pb10 Pb 0.6953 0.2500 0.1350
Pb11 Pb 0.8888 0.7500 0.2630
Pb12 Pb 0.9097 0.2500 0.9401
```

Peak list (12 most intense, 10 to 90 degrees two-theta, in order of rising 2θ)
2θ 10.6, I = 15; 2θ 21.5, I = 19; 2θ 29.6, I = 29; 2θ 31.9, I = 41; 2θ 33.3, I = 61; 2θ 33.7, I = 100; 2θ 44.1, I = 21; 2θ 51.9, I = 20; 2θ 57.7, I = 16; 2θ 58.0, I = 21; 2θ 62.2, I = 23; 2θ 63.9, I = 19

---

Record 3
Theoretical X-ray diffraction stick pattern of Na8Tl5Pb for copper Kα, from a cell relaxed with GGA-PBE.
Intensities are scaled so that the largest is 100.

Structural model:
```
data_Na8Tl5Pb
_chemical_formula_sum 'Na8 Tl5 Pb1'
_symmetry_space_group_name_H-M 'P 1'
_symmetry_Int_Tables_number 1
_cell_length_a 8.3958
_cell_length_b 8.3958
_cell_length_c 8.3958
_cell_angle_alpha 104.73
_cell_angle_beta 104.73
_cell_angle_gamma 119.44
loop_
_symmetry_equiv_pos_as_xyz
'x,y,z'
loop_
_atom_site_label
_atom_site_type_symbol
_atom_site_fract_x
_atom_site_fract_y
_atom_site_fract_z
Na1 Na 0.0145 0.1765 0.8220
Na2 Na 0.2680 0.3846 0.5816
Na3 Na 0.3136 0.7320 0.1166
Na4 Na 0.3545 0.1925 0.1780
Na5 Na 0.6154 0.1970 0.8834
Na6 Na 0.8030 0.6864 0.4184
Na7 Na 0.8075 0.9855 0.1620
Na8 Na 0.8235 0.6455 0.8380
Tl1 Tl 0.0175 0.4696 0.2708
Tl2 Tl 0.1989 0.7467 0.7292
Tl3 Tl 0.2533 0.9825 0.4522
Tl4 Tl 0.5304 0.8011 0.5478
Tl5 Tl 0.7500 0.2500 0.5000
Pb1 Pb 0.5000 0.5000 0.0000
```

Peak list (12 most intense, 10 to 90 degrees two-theta, in order of rising 2θ)
2θ 12.2, I = 64; 2θ 13.6, I = 29; 2θ 17.3, I = 42; 2θ 22.0, I = 100; 2θ 24.3, I = 28; 2θ 28.2, I = 39; 2θ 32.5, I = 43; 2θ 32.9, I = 58; 2θ 33.2, I = 60; 2θ 34.9, I = 75; 2θ 37.7, I = 47; 2θ 45.5, I = 24

---

Record 4
Theoretical X-ray diffraction stick pattern of Na3Tl4Pb2 for copper Kα, from a cell relaxed with GGA-PBE.
Intensities are scaled so that the largest is 100.

Structural model:
```
data_Na3Tl4Pb2
_chemical_formula_sum 'Na3 Tl4 Pb2'
_symmetry_space_group_name_H-M 'P 1'
_symmetry_Int_Tables_number 1
_cell_length_a 5.7323
_cell_length_b 6.1460
_cell_length_c 8.6612
_cell_angle_alpha 99.46
_cell_angle_beta 93.03
_cell_angle_gamma 117.58
loop_
_symmetry_equiv_pos_as_xyz
'x,y,z'
loop_
_atom_site_label
_atom_site_type_symbol
_atom_site_fract_x
_atom_site_fract_y
_atom_site_fract_z
Na1 Na 0.0000 0.0000 0.0000
Na2 Na 0.3766 0.8853 0.6667
Na3 Na 0.6234 0.1147 0.3333
Tl1 Tl 0.0456 0.2178 0.6689
Tl2 Tl 0.3364 0.6685 0.9993
Tl3 Tl 0.6636 0.3315 0.0007
Tl4 Tl 0.9544 0.7822 0.3311
Pb1 Pb 0.2927 0.4499 0.3357
Pb2 Pb 0.7073 0.5501 0.6643
```

Peak list (12 most intense, 10 to 90 degrees two-theta, in order of rising 2θ)
2θ 16.7, I = 33; 2θ 21.9, I = 23; 2θ 25.5, I = 19; 2θ 31.3, I = 39; 2θ 31.8, I = 61; 2θ 32.8, I = 49; 2θ 32.9, I = 51; 2θ 33.7, I = 100; 2θ 43.9, I = 19; 2θ 46.4, I = 17; 2θ 50.2, I = 17; 2θ 60.5, I = 17